No. 1
# LiMn2P2O8
Calculated powder XRD pattern, Cu Kα (weighted mean of Kα1 and Kα2). Input: a structure optimized by DFT (PBE+U).
Intensities are scaled so that the largest is 100.

```
LiMn2P2O8
1.0
7.3267 0.0000 0.0000
-0.3825 8.4676 0.0000
-0.4138 -4.2384 7.4352
Li Mn P O
3 6 6 24
direct
0.0000 0.0000 0.0000
0.0226 0.2822 0.6413
0.5281 0.6413 0.9593
0.1543 0.9676 0.3060
0.2140 0.3078 0.9873
0.2388 0.6393 0.6481
0.6476 0.6452 0.6232
0.6789 0.3201 0.0041
0.7301 0.9883 0.3273
0.4331 0.9971 0.0172
0.4366 0.6683 0.2974
0.4445 0.2913 0.6303
0.9244 0.6216 0.9294
0.9331 0.3490 0.3341
0.9531 0.9476 0.6541
0.0823 0.5517 0.8027
0.1170 0.4653 0.4219
0.1171 0.8536 0.6835
0.2561 0.7337 0.2660
0.2585 0.1829 0.5513
0.2604 0.0443 0.1207
0.4131 0.7895 0.8636
0.4362 0.4615 0.1737
0.4416 0.4581 0.5893
0.4543 0.3784 0.8384
0.4578 0.1193 0.9333
0.4684 0.7183 0.4984
0.5970 0.7520 0.2371
0.6069 0.1796 0.5508
0.6102 0.0172 0.1346
0.7448 0.6083 0.8143
0.7680 0.4608 0.3963
0.7819 0.8840 0.7145
0.8889 0.4972 0.0084
0.9223 0.9168 0.4593
0.9265 0.1900 0.3829
0.9401 0.2583 0.1272
0.9565 0.8235 0.0775
0.9959 0.1543 0.7840
```

Most intense lines, 2θ = 10–90°, sorted by position:
two_theta, intensity
20.77, 100
20.98, 41
23.11, 50
23.60, 36
30.71, 58
31.47, 57
31.65, 49
33.01, 35
33.13, 40
36.64, 60

No. 2
# Li2MnP5O15
Calculated powder XRD pattern, Cu Kα (weighted mean of Kα1 and Kα2). Input: a structure optimized by DFT (PBE+U).
Intensities are scaled so that the largest is 100.

```
Li2MnP5O15
1.0
5.2120 0.0000 0.0000
0.0000 13.5172 0.0000
-1.7433 0.0000 8.4942
Li Mn P O
4 2 10 30
direct
0.0620 0.1155 0.1064
0.0620 0.3845 0.1064
0.9380 0.6155 0.8936
0.9380 0.8845 0.8936
0.5000 0.0000 0.5000
0.5000 0.5000 0.5000
0.0172 0.6397 0.4891
0.0172 0.8603 0.4891
0.3377 0.0770 0.8132
0.3377 0.4230 0.8132
0.4582 0.7500 0.9891
0.5418 0.2500 0.0109
0.6623 0.5770 0.1868
0.6623 0.9230 0.1868
0.9828 0.1397 0.5109
0.9828 0.3603 0.5109
0.0157 0.2500 0.4554
0.1200 0.0757 0.4114
0.1200 0.4243 0.4114
0.1355 0.1437 0.6899
0.1355 0.3563 0.6899
0.1959 0.0317 0.9284
0.1959 0.4683 0.9284
0.1962 0.7500 0.8805
0.2882 0.2500 0.0665
0.3057 0.6240 0.4907
0.3057 0.8760 0.4907
0.4503 0.6574 0.1099
0.4503 0.8426 0.1099
0.4827 0.0081 0.7216
0.4827 0.4919 0.7216
0.5173 0.5081 0.2784
0.5173 0.9919 0.2784
0.5497 0.1574 0.8901
0.5497 0.3426 0.8901
0.6943 0.1240 0.5093
0.6943 0.3760 0.5093
0.7118 0.7500 0.9335
0.8038 0.2500 0.1195
0.8041 0.5317 0.0716
0.8041 0.9683 0.0716
0.8645 0.6437 0.3101
0.8645 0.8563 0.3101
0.8800 0.5757 0.5886
0.8800 0.9243 0.5886
0.9843 0.7500 0.5446
```

Most intense lines, 2θ = 10–90°, sorted by position:
two_theta, intensity
10.41, 62
12.31, 35
16.76, 54
18.39, 100
20.92, 68
22.34, 43
22.64, 39
25.73, 76
31.59, 34
31.75, 37

No. 3
# LiMnPO4
Calculated powder XRD pattern, Cu Kα (weighted mean of Kα1 and Kα2). Input: a structure optimized by DFT (PBE+U).
Intensities are scaled so that the largest is 100.

```
LiMnPO4
1.0
7.6302 0.0000 0.0000
0.0000 4.9802 0.0000
-0.4076 0.0000 18.8929
Li Mn P O
8 8 8 32
direct
0.0023 0.1707 0.1818
0.0023 0.3293 0.6818
0.4759 0.2412 0.0885
0.4759 0.2588 0.5885
0.5241 0.7412 0.4115
0.5241 0.7588 0.9115
0.9977 0.6707 0.3182
0.9977 0.8293 0.8182
0.1733 0.7227 0.5194
0.1733 0.7773 0.0194
0.3244 0.2289 0.2732
0.3244 0.2711 0.7732
0.6756 0.7289 0.2268
0.6756 0.7711 0.7268
0.8267 0.2227 0.9806
0.8267 0.2773 0.4806
0.2501 0.2296 0.9357
0.2501 0.2704 0.4357
0.2515 0.6759 0.1837
0.2515 0.8241 0.6837
0.7485 0.1759 0.3163
0.7485 0.3241 0.8163
0.7499 0.7296 0.5643
0.7499 0.7704 0.0643
0.0589 0.1135 0.9304
0.0589 0.3865 0.4304
0.0971 0.5290 0.2203
0.0971 0.9710 0.7203
0.2310 0.5137 0.6888
0.2310 0.9863 0.1888
0.2536 0.5419 0.9322
0.2536 0.9581 0.4322
0.2767 0.5790 0.1070
0.2767 0.9210 0.6070
0.3294 0.1265 0.0070
0.3294 0.3735 0.5070
0.3522 0.1085 0.8733
0.3522 0.3915 0.3733
0.4186 0.5867 0.2271
0.4186 0.9133 0.7271
0.5814 0.0867 0.2729
0.5814 0.4133 0.7729
0.6478 0.6085 0.6267
0.6478 0.8915 0.1267
0.6706 0.6265 0.4930
0.6706 0.8735 0.9930
0.7233 0.0790 0.3930
0.7233 0.4210 0.8930
0.7464 0.0419 0.5678
0.7464 0.4581 0.0678
0.7690 0.0137 0.8112
0.7690 0.4863 0.3112
0.9029 0.0290 0.2797
0.9029 0.4710 0.7797
0.9411 0.6135 0.5696
0.9411 0.8865 0.0696
```

Most intense lines, 2θ = 10–90°, sorted by position:
two_theta, intensity
14.77, 25
18.79, 56
20.16, 93
23.33, 100
29.50, 37
30.85, 21
33.68, 32
35.51, 37
35.94, 23
40.99, 22

No. 4
# LiMnPO4
Calculated powder XRD pattern, Cu Kα (weighted mean of Kα1 and Kα2). Input: a structure optimized by DFT (PBE+U).
Intensities are scaled so that the largest is 100.

```
LiMnPO4
1.0
4.9960 0.0000 0.0000
-2.4906 4.9417 0.0000
-0.0073 -1.7083 6.4582
Li Mn P O
2 2 2 8
direct
0.0000 0.0000 0.0000
0.0288 0.9996 0.5000
0.3186 0.7066 0.2745
0.6119 0.2917 0.7263
0.2847 0.6496 0.7715
0.6346 0.3491 0.2293
0.0528 0.3355 0.6719
0.1776 0.7295 0.9814
0.2759 0.8346 0.6260
0.4414 0.1642 0.3747
0.4476 0.2694 0.0193
0.6114 0.6893 0.7956
0.7164 0.6631 0.3291
0.9214 0.3089 0.2052
```

Most intense lines, 2θ = 10–90°, sorted by position:
two_theta, intensity
18.57, 29
20.06, 100
27.62, 57
29.15, 40
32.32, 13
33.36, 53
35.95, 37
36.33, 21
37.66, 30
45.93, 21

No. 5
# LiMnPO4
Calculated powder XRD pattern, Cu Kα (weighted mean of Kα1 and Kα2). Input: a structure optimized by DFT (PBE+U).
Intensities are scaled so that the largest is 100.

```
LiMnPO4
1.0
8.8184 0.0000 0.0000
0.0000 5.2461 0.0000
-2.7504 0.0000 8.0421
Li Mn P O
4 4 4 16
direct
0.0000 0.1731 0.0000
0.0000 0.8269 0.5000
0.5191 0.3156 0.6535
0.5191 0.6844 0.1535
0.2724 0.3234 0.8924
0.2724 0.6766 0.3924
0.7502 0.1809 0.2266
0.7502 0.8191 0.7266
0.3877 0.1810 0.2636
0.3877 0.8190 0.7636
0.8826 0.3154 0.6222
0.8826 0.6846 0.1222
0.0304 0.2657 0.7779
0.0304 0.7343 0.2779
0.2313 0.2202 0.1152
0.2313 0.7798 0.6152
0.3711 0.3126 0.4209
0.3711 0.6874 0.9209
0.4255 0.1070 0.7999
0.4255 0.8930 0.2999
0.5247 0.3099 0.2119
0.5247 0.6901 0.7119
0.7332 0.2046 0.6602
0.7332 0.7954 0.1602
0.8569 0.3945 0.0848
0.8569 0.6055 0.5848
0.9049 0.1749 0.4704
0.9049 0.8251 0.9704
```

Most intense lines, 2θ = 10–90°, sorted by position:
two_theta, intensity
21.13, 100
21.30, 68
22.11, 21
26.74, 23
27.57, 59
30.59, 22
34.18, 32
36.02, 18
37.66, 25
45.25, 16